Simulated X-ray diffraction stick pattern of Mg5AgPd for Cu Kα (λ = 1.5418 Å), from a structure optimized by DFT (GGA-PBE).
Neutral-atom scattering factors, no anomalous dispersion.

Principal peaks in the range 2θ from 5° to 70°, sorted by position:
| hkl | 2θ (°) | I (rel.) |
| --- | --- | --- |
| 2 0 0 | 17.3 | 100 |
| 1 1 -2 | 22.0 | 91 |
| 0 2 0 | 22.4 | 39 |
| 3 1 -2 | 26.7 | 19 |
| 1 1 2 | 29.5 | 13 |
| 4 0 0 | 35.0 | 44 |
| 2 0 -4 | 38.4 | 20 |
| 1 3 -2 | 39.1 | 21 |
| 5 1 -2 | 39.8 | 23 |
| 4 2 0 | 42.0 | 22 |
| 3 1 2 | 43.7 | 14 |
| 3 3 2 | 55.1 | 16 |

Crystal structure
```
data_Mg5AgPd
_chemical_formula_sum 'Mg20 Ag4 Pd4'
_space_group_name_H-M_alt 'C 1 2/c 1'
_space_group_IT_number 15
_space_group_name_Hall '-C 2yc'
_cell_length_a 11.8293
_cell_length_b 7.9363
_cell_length_c 9.4507
_cell_angle_alpha 90.00
_cell_angle_beta 119.96
_cell_angle_gamma 90.00
loop_
_atom_site_label
_atom_site_fract_x
_atom_site_fract_y
_atom_site_fract_z
Mg1 0.0000 0.0873 0.2500
Mg2 0.0214 0.3154 0.9623
Mg3 0.2474 0.0286 0.6544
Ag1 0.0000 0.4331 0.2500
Pd1 0.0000 0.0000 0.0000
```

Simulated X-ray diffraction stick pattern of CsBrF6 for Cu Kα (λ = 1.5418 Å), from a structure optimized by DFT (GGA-PBE).
Neutral-atom scattering factors, no anomalous dispersion.

Principal peaks in the range 2θ from 5° to 70°, sorted by position:
| hkl | 2θ (°) | I (rel.) |
| --- | --- | --- |
| 0 1 2 | 20.8 | 100 |
| 1 0 4 | 28.5 | 56 |
| 1 1 0 | 30.5 | 26 |
| 0 2 1 | 35.8 | 11 |
| 2 0 2 | 37.2 | 31 |
| 1 1 6 | 46.1 | 31 |
| 1 2 2 | 48.8 | 14 |
| 0 1 8 | 49.1 | 8 |
| 2 1 4 | 53.0 | 22 |
| 2 2 0 | 63.5 | 9 |
| 3 0 6 | 65.4 | 11 |
| 1 2 8 | 67.8 | 9 |

Crystal structure
```
data_CsBrF6
_chemical_formula_sum 'Cs3 Br3 F18'
_space_group_name_H-M_alt 'R -3 m'
_space_group_IT_number 166
_space_group_name_Hall '-R 3 2"'
_cell_length_a 5.8586
_cell_length_b 5.8586
_cell_length_c 15.9447
_cell_angle_alpha 90.00
_cell_angle_beta 90.00
_cell_angle_gamma 120.00
loop_
_atom_site_label
_atom_site_fract_x
_atom_site_fract_y
_atom_site_fract_z
Cs1 0.0000 0.0000 0.0000
Br1 0.0000 0.0000 0.5000
F1 0.0274 0.5137 0.0977
```

Q: Which formula does entry 1 have?
A: Mg5AgPd

Copy entry 2 word for word.
Simulated X-ray diffraction stick pattern of CsBrF6 for Cu Kα (λ = 1.5418 Å), from a structure optimized by DFT (GGA-PBE).
Neutral-atom scattering factors, no anomalous dispersion.

Principal peaks in the range 2θ from 5° to 70°, sorted by position:
| hkl | 2θ (°) | I (rel.) |
| --- | --- | --- |
| 0 1 2 | 20.8 | 100 |
| 1 0 4 | 28.5 | 56 |
| 1 1 0 | 30.5 | 26 |
| 0 2 1 | 35.8 | 11 |
| 2 0 2 | 37.2 | 31 |
| 1 1 6 | 46.1 | 31 |
| 1 2 2 | 48.8 | 14 |
| 0 1 8 | 49.1 | 8 |
| 2 1 4 | 53.0 | 22 |
| 2 2 0 | 63.5 | 9 |
| 3 0 6 | 65.4 | 11 |
| 1 2 8 | 67.8 | 9 |

Crystal structure
```
data_CsBrF6
_chemical_formula_sum 'Cs3 Br3 F18'
_space_group_name_H-M_alt 'R -3 m'
_space_group_IT_number 166
_space_group_name_Hall '-R 3 2"'
_cell_length_a 5.8586
_cell_length_b 5.8586
_cell_length_c 15.9447
_cell_angle_alpha 90.00
_cell_angle_beta 90.00
_cell_angle_gamma 120.00
loop_
_atom_site_label
_atom_site_fract_x
_atom_site_fract_y
_atom_site_fract_z
Cs1 0.0000 0.0000 0.0000
Br1 0.0000 0.0000 0.5000
F1 0.0274 0.5137 0.0977
```